Entry 1:
# Ca2Pu2Pd3
Simulated powder diffractogram, CuKα. Input: a cell relaxed with GGA-PBE.
Peak positions follow from Bragg's law for the DFT cell and can differ from measured ones.

Atomic structure:
Cell: 3.524 26.905 3.464 Å, 90.00 90.00 90.00°
Fractional positions:
Ca (0.000, 0.065, 0.000)
Ca (0.000, 0.935, 0.000)
Ca (0.500, 0.435, 0.000)
Ca (0.500, 0.565, 0.000)
Pu (0.000, 0.198, 0.000)
Pu (0.000, 0.802, 0.000)
Pu (0.500, 0.302, 0.000)
Pu (0.500, 0.698, 0.000)
Pd (0.000, 0.364, 0.500)
Pd (0.000, 0.500, 0.500)
Pd (0.000, 0.636, 0.500)
Pd (0.500, 0.000, 0.500)
Pd (0.500, 0.136, 0.500)
Pd (0.500, 0.864, 0.500)

The 8 most intense peaks (2θ = 10–90°), low angle first:
- d = 3.355 Å, 26.57 deg, I 59
- d = 2.948 Å, 30.32 deg, I 41
- d = 2.597 Å, 34.53 deg, I 100
- d = 2.460 Å, 36.53 deg, I 69
- d = 2.413 Å, 37.27 deg, I 86
- d = 2.381 Å, 37.78 deg, I 51
- d = 2.245 Å, 40.18 deg, I 54
- d = 1.451 Å, 64.17 deg, I 43



Entry 2:
# La3SbPbCl
Simulated powder diffractogram, CuKα. Input: a cell relaxed with GGA-PBE.
Peak positions follow from Bragg's law for the DFT cell and can differ from measured ones.

Atomic structure:
Cell: 9.241 4.628 10.045 Å, 90.00 103.43 90.00°
Fractional positions:
La (0.086, 0.250, 0.338)
La (0.263, 0.250, 0.002)
La (0.401, 0.750, 0.631)
La (0.599, 0.250, 0.369)
La (0.737, 0.750, 0.998)
La (0.914, 0.750, 0.662)
Sb (0.159, 0.250, 0.665)
Sb (0.841, 0.750, 0.335)
Pb (0.321, 0.750, 0.274)
Pb (0.679, 0.250, 0.726)
Cl (0.406, 0.750, 0.916)
Cl (0.594, 0.250, 0.084)

The 8 most intense peaks (2θ = 10–90°), low angle first:
- d = 4.496 Å, 19.75 deg, I 15
- d = 3.257 Å, 27.39 deg, I 34
- d = 3.225 Å, 27.66 deg, I 100
- d = 2.697 Å, 33.22 deg, I 14
- d = 2.510 Å, 35.77 deg, I 21
- d = 2.506 Å, 35.84 deg, I 20
- d = 2.312 Å, 38.95 deg, I 43
- d = 1.886 Å, 48.25 deg, I 23



Entry 3:
# Ac8Te4Ir3Pb
Simulated powder diffractogram, CuKα. Input: a cell relaxed with GGA-PBE.
Peak positions follow from Bragg's law for the DFT cell and can differ from measured ones.

Atomic structure:
Cell: 9.528 9.528 9.528 Å, 56.85 56.85 56.85°
Fractional positions:
Ac (0.217, 0.748, 0.748)
Ac (0.238, 0.238, 0.238)
Ac (0.252, 0.252, 0.783)
Ac (0.252, 0.783, 0.252)
Ac (0.748, 0.217, 0.748)
Ac (0.748, 0.748, 0.217)
Ac (0.762, 0.762, 0.762)
Ac (0.783, 0.252, 0.252)
Te (0.000, 0.000, 0.000)
Te (0.000, 0.500, 0.500)
Te (0.500, 0.000, 0.500)
Te (0.500, 0.500, 0.000)
Ir (0.000, 0.000, 0.500)
Ir (0.000, 0.500, 0.000)
Ir (0.500, 0.000, 0.000)
Pb (0.500, 0.500, 0.500)

The 8 most intense peaks (2θ = 10–90°), low angle first:
- d = 7.960 Å, 11.12 deg, I 13
- d = 3.281 Å, 27.18 deg, I 100
- d = 2.377 Å, 37.86 deg, I 36
- d = 2.268 Å, 39.75 deg, I 38
- d = 1.865 Å, 48.82 deg, I 20
- d = 1.641 Å, 56.06 deg, I 11
- d = 1.496 Å, 62.05 deg, I 12
- d = 1.441 Å, 64.70 deg, I 17



Entry 4:
# Ca2Zn2GeRh5
Simulated powder diffractogram, CuKα. Input: a cell relaxed with GGA-PBE.
Peak positions follow from Bragg's law for the DFT cell and can differ from measured ones.

Atomic structure:
Cell: 10.174 10.174 3.227 Å, 90.00 90.00 90.00°
Fractional positions:
Ca (0.171, 0.329, 0.000)
Ca (0.329, 0.829, 0.000)
Ca (0.671, 0.171, 0.000)
Ca (0.829, 0.671, 0.000)
Zn (0.132, 0.632, 0.000)
Zn (0.368, 0.132, 0.000)
Zn (0.632, 0.868, 0.000)
Zn (0.868, 0.368, 0.000)
Ge (0.000, 0.000, 0.000)
Ge (0.500, 0.500, 0.000)
Rh (0.000, 0.500, 0.500)
Rh (0.058, 0.809, 0.500)
Rh (0.191, 0.058, 0.500)
Rh (0.309, 0.558, 0.500)
Rh (0.442, 0.309, 0.500)
Rh (0.500, 0.000, 0.500)
Rh (0.558, 0.691, 0.500)
Rh (0.691, 0.442, 0.500)
Rh (0.809, 0.942, 0.500)
Rh (0.942, 0.191, 0.500)

The 8 most intense peaks (2θ = 10–90°), low angle first:
- d = 5.087 Å, 17.43 deg, I 14
- d = 4.550 Å, 19.51 deg, I 21
- d = 2.468 Å, 36.41 deg, I 30
- d = 2.400 Å, 37.48 deg, I 33
- d = 2.278 Å, 39.56 deg, I 100
- d = 2.124 Å, 42.56 deg, I 30
- d = 1.997 Å, 45.42 deg, I 14
- d = 1.960 Å, 46.32 deg, I 15